Structure and calculated X-ray diffraction stick pattern of LiZrAl (a crystal structure in Alexandria, relaxed with GGA-PBE; Cu Kα).

Principal peaks in the range 2θ = 5–70°, sorted by position:
d_spacing	Rel. int.	h k l
4.544	91	0 1 1
4.176	23	1 0 1
2.799	16	0 2 0
2.684	100	1 1 2
2.475	30	2 0 0
2.353	16	0 1 3
2.325	62	1 2 1
2.297	37	1 0 3
2.173	34	2 1 1
1.597	15	0 2 4
1.593	20	1 3 2
1.399	18	0 4 0

Cell and atoms:
```
data_LiZrAl
_cell_length_a 4.950
_cell_length_b 5.599
_cell_length_c 7.781
_cell_angle_alpha 90.00
_cell_angle_beta 90.00
_cell_angle_gamma 90.00
_space_group_name_H-M_alt 'I m m a'
_space_group_IT_number 74
_space_group_name_Hall '-I 2b 2'
loop_
_atom_site_label
_atom_site_type_symbol
_atom_site_fract_x
_atom_site_fract_y
_atom_site_fract_z
Li1 Li 0.250 0.250 0.250
Zr1 Zr 0.000 0.250 0.631
Al1 Al 0.000 0.000 0.000
```